No. 1
Diffraction record for Ba3Ge8Au3. The PXRD pattern is computed, not measured: it uses the GGA-PBE geometry in Alexandria and λ = 1.5418 Å (Cu Kα).
No peak broadening, texture or thermal motion is included.

Peak list (10 most intense, 10 to 80 degrees two-theta, by angle)
hkl 2 0 1, 2θ = 17.19°, I = 22
hkl 3 1 0, 2θ = 26.11°, I = 41
hkl 3 1 -2, 2θ = 28.52°, I = 21
hkl 1 1 2, 2θ = 30.14°, I = 100
hkl 6 0 -2, 2θ = 31.13°, I = 35
hkl 6 0 0, 2θ = 33.08°, I = 23
hkl 1 1 -3, 2θ = 34.40°, I = 23
hkl 6 0 1, 2θ = 38.16°, I = 21
hkl 0 2 0, 2θ = 41.06°, I = 42
hkl 5 1 -4, 2θ = 43.63°, I = 32

Structural model:
a = 17.646 Å, b = 4.396 Å, c = 9.945 Å
α = 90.00°, β = 112.98°, γ = 90.00°
Space group C2/m (No. 12)
Asymmetric unit:
Ba 0.000 0.000 0.000 [2 per cell]
Ba 0.208 0.500 0.678 [4 per cell]
Ge 0.020 0.500 0.699 [4 per cell]
Ge 0.117 0.500 0.263 [4 per cell]
Ge 0.119 0.000 0.409 [4 per cell]
Ge 0.179 0.000 0.918 [4 per cell]
Au 0.000 0.000 0.500 [2 per cell]
Au 0.163 0.500 0.044 [4 per cell]

=====

No. 2
Diffraction record for Dy6Tm3Zr. The PXRD pattern is computed, not measured: it uses the GGA-PBE geometry in Alexandria and λ = 1.5418 Å (Cu Kα).
No peak broadening, texture or thermal motion is included.

Peak list (10 most intense, 10 to 80 degrees two-theta, by angle)
hkl 0 1 3, 2θ = 24.76°, I = 15
hkl 1 2 2, 2θ = 28.80°, I = 51
hkl 1 3 -1, 2θ = 30.92°, I = 100
hkl 0 3 3, 2θ = 33.44°, I = 28
hkl 1 0 -4, 2θ = 36.61°, I = 56
hkl 2 0 0, 2θ = 36.92°, I = 33
hkl 0 4 4, 2θ = 45.11°, I = 20
hkl 2 3 3, 2θ = 50.66°, I = 18
hkl 2 4 -4, 2θ = 59.66°, I = 17
hkl 1 7 3, 2θ = 65.38°, I = 39

Structural model:
a = 4.869 Å, b = 11.374 Å, c = 11.365 Å
α = 90.00°, β = 90.05°, γ = 90.00°
Space group P2_1/c (No. 14)
Asymmetric unit:
Dy 0.000 0.001 0.214 [4 per cell]
Dy 0.000 0.214 0.999 [4 per cell]
Dy 0.500 0.148 0.648 [4 per cell]
Tm 0.500 0.000 0.000 [2 per cell]
Tm 0.500 0.146 0.354 [4 per cell]
Zr 0.000 0.000 0.500 [2 per cell]

=====

No. 3
Diffraction record for La8Tb2Sm3. The PXRD pattern is computed, not measured: it uses the GGA-PBE geometry in Alexandria and λ = 1.5418 Å (Cu Kα).
No peak broadening, texture or thermal motion is included.

Peak list (10 most intense, 10 to 80 degrees two-theta, by angle)
hkl 0 1 -3, 2θ = 29.64°, I = 100
hkl 2 -1 0, 2θ = 29.74°, I = 99
hkl 1 1 2, 2θ = 34.15°, I = 34
hkl 1 -3 1, 2θ = 34.35°, I = 34
hkl 2 0 -3, 2θ = 34.75°, I = 33
hkl 0 4 1, 2θ = 49.22°, I = 24
hkl 3 1 -1, 2θ = 49.62°, I = 24
hkl 1 0 5, 2θ = 58.32°, I = 15
hkl 3 0 2, 2θ = 58.49°, I = 15
hkl 1 -4 4, 2θ = 58.65°, I = 22

Structural model:
a = 6.339 Å, b = 8.260 Å, c = 9.741 Å
α = 94.77°, β = 108.32°, γ = 104.97°
Space group P-1 (No. 2)
Asymmetric unit:
La 0.076 0.153 0.383 [2 per cell]
La 0.154 0.309 0.772 [2 per cell]
La 0.304 0.614 0.537 [2 per cell]
La 0.384 0.768 0.923 [2 per cell]
Tb 0.231 0.462 0.153 [2 per cell]
Sm 0.000 0.000 0.000 [1 per cell]
Sm 0.463 0.922 0.308 [2 per cell]